# 1
The following is a theoretical powder diffraction line list of Cu5Pd2Au4. It was derived from a structure optimized by DFT (GGA-PBE), using Cu Kα.
Kinematic intensities with the Lorentz-polarization factor, no thermal factor.

Structure:
```
22
Lattice="6.9510 0.0000 0.0000 0.0000 16.8201 0.0000 0.0000 0.0000 2.8402" Properties=species:S:1:pos:R:3 pbc="T T T"
Cu 0.0000 0.0000 0.0000
Cu 0.9739 7.2164 0.0000
Cu 1.6407 3.3083 0.0000
Cu 1.8348 11.7183 0.0000
Cu 2.5015 15.6265 0.0000
Cu 3.4755 8.4101 0.0000
Cu 4.4494 1.1936 0.0000
Cu 5.1162 5.1018 0.0000
Cu 5.3103 13.5119 0.0000
Cu 5.9770 9.6037 0.0000
Pd 0.3566 5.0733 1.4201
Pd 3.1189 13.4834 1.4201
Pd 3.8321 3.3368 1.4201
Pd 6.5943 11.7468 1.4201
Au 0.5036 14.4538 1.4201
Au 1.3638 9.4413 1.4201
Au 2.1117 1.0312 1.4201
Au 2.9719 6.0438 1.4201
Au 3.9791 10.7764 1.4201
Au 4.8393 15.7889 1.4201
Au 5.5872 7.3789 1.4201
Au 6.4474 2.3663 1.4201
```

Top 12 peaks for 15° ≤ 2θ ≤ 90°, in order of rising 2θ:
| (hkl) | 2theta | d_spacing | I (rel.) |
| --- | --- | --- | --- |
| 1 4 0 | 24.75 | 3.598 | 15 |
| 0 0 1 | 31.50 | 2.840 | 25 |
| 1 6 0 | 34.50 | 2.600 | 17 |
| 3 1 0 | 39.25 | 2.295 | 15 |
| 1 7 0 | 39.69 | 2.271 | 38 |
| 3 2 0 | 40.43 | 2.231 | 100 |
| 2 6 0 | 41.39 | 2.181 | 20 |
| 2 2 1 | 42.49 | 2.128 | 33 |
| 1 5 1 | 43.70 | 2.072 | 15 |
| 2 3 1 | 44.24 | 2.047 | 29 |
| 3 2 1 | 52.09 | 1.756 | 14 |
| 4 5 1 | 69.27 | 1.356 | 14 |

=====

# 2
The following is a theoretical powder diffraction line list of Cu3PdAu6. It was derived from a structure optimized by DFT (GGA-PBE), using Cu Kα.
Kinematic intensities with the Lorentz-polarization factor, no thermal factor.

Structure:
```
20
Lattice="10.1529 0.0000 0.0000 0.0000 11.3610 0.0000 0.0000 0.0000 2.9224" Properties=species:S:1:pos:R:3 pbc="T T T"
Cu 0.0000 0.0000 0.0000
Cu 1.1099 3.8116 1.4612
Cu 3.9666 9.4921 0.0000
Cu 5.0765 5.6805 1.4612
Cu 6.1864 1.8689 0.0000
Cu 9.0431 7.5494 1.4612
Pd 0.0000 5.6805 0.0000
Pd 5.0765 0.0000 1.4612
Au 0.8119 8.5761 0.0000
Au 2.0042 1.7931 0.0000
Au 2.1717 10.7256 1.4612
Au 2.9048 5.0451 0.0000
Au 3.0723 7.4736 1.4612
Au 4.2645 2.8956 1.4612
Au 5.8884 8.4654 1.4612
Au 7.0806 3.8874 1.4612
Au 7.2481 6.3159 0.0000
Au 7.9813 0.6354 1.4612
Au 8.1488 9.5679 0.0000
Au 9.3410 2.7849 0.0000
```

Top 12 peaks for 15° ≤ 2θ ≤ 90°, in order of rising 2θ:
| (hkl) | 2theta | d_spacing | I (rel.) |
| --- | --- | --- | --- |
| 3 1 0 | 27.50 | 3.243 | 32 |
| 1 0 1 | 31.87 | 2.808 | 26 |
| 1 4 0 | 32.74 | 2.735 | 37 |
| 4 1 0 | 36.25 | 2.478 | 50 |
| 0 3 1 | 38.91 | 2.314 | 98 |
| 1 3 1 | 39.97 | 2.256 | 47 |
| 3 1 1 | 41.58 | 2.172 | 100 |
| 4 3 0 | 42.93 | 2.107 | 36 |
| 2 5 0 | 43.64 | 2.074 | 40 |
| 5 1 0 | 45.40 | 1.998 | 38 |
| 7 2 1 | 74.98 | 1.267 | 30 |
| 5 6 1 | 76.05 | 1.251 | 29 |